1.
For Ba2SrTe2, the PBE geometry in Alexandria gives the simulated X-ray diffraction stick pattern in this record (a wavelength of 1.5418 Å).

Cell and atoms:
Cell lengths 9.219, 9.219, 4.833 Å; angles 90.00, 90.00, 90.00 degrees
Space group P4/mbm (No. 127)
Inequivalent atoms, fractional coordinates:
Ba 0.153 0.347 0.000
Sr 0.000 0.000 0.500
Te 0.154 0.654 0.500

The 10 most intense peaks (10° ≤ 2θ ≤ 90°), in order of rising 2θ:
(2 1 1), d = 3.137 Å, intensity 100
(3 1 0), d = 2.915 Å, intensity 37
(0 0 2), d = 2.417 Å, intensity 14
(3 3 0), d = 2.173 Å, intensity 9
(4 1 1), d = 2.029 Å, intensity 14
(3 1 2), d = 1.861 Å, intensity 20
(5 2 1), d = 1.614 Å, intensity 27
(2 1 3), d = 1.501 Å, intensity 12
(6 0 2), d = 1.297 Å, intensity 6
(5 2 3), d = 1.173 Å, intensity 7

=====

2.
For Ac3AlAu3, the PBE geometry in Alexandria gives the simulated X-ray diffraction stick pattern in this record (a wavelength of 1.5418 Å).

Cell and atoms:
Cell lengths 11.931, 4.411, 16.228 Å; angles 90.00, 109.30, 90.00 degrees
Space group C2/m (No. 12)
Inequivalent atoms, fractional coordinates:
Ac 0.017 0.000 0.384
Ac 0.100 0.000 0.920
Ac 0.237 0.000 0.235
Al 0.240 0.500 0.413
Au 0.029 0.500 0.238
Au 0.123 0.500 0.078
Au 0.142 0.500 0.544

The 10 most intense peaks (10° ≤ 2θ ≤ 90°), in order of rising 2θ:
(1 1 2), d = 3.450 Å, intensity 17
(1 1 3), d = 3.027 Å, intensity 29
(1 1 -4), d = 2.984 Å, intensity 100
(3 1 -1), d = 2.947 Å, intensity 40
(3 1 -4), d = 2.630 Å, intensity 28
(0 0 6), d = 2.553 Å, intensity 22
(3 1 2), d = 2.481 Å, intensity 43
(0 2 0), d = 2.206 Å, intensity 30
(4 2 -2), d = 1.773 Å, intensity 15
(7 1 -3), d = 1.590 Å, intensity 17

=====

3.
For DyY5Sc, the PBE geometry in Alexandria gives the simulated X-ray diffraction stick pattern in this record (a wavelength of 1.5418 Å).

Cell and atoms:
Cell lengths 11.145, 4.987, 7.881 Å; angles 90.00, 98.17, 90.00 degrees
Space group Cm (No. 8)
Inequivalent atoms, fractional coordinates:
Dy 0.000 0.000 0.000
Y 0.073 0.500 0.707
Y 0.213 0.500 0.141
Y 0.286 0.000 0.849
Y 0.357 0.500 0.564
Y 0.429 0.000 0.284
Sc 0.143 0.000 0.423

The 10 most intense peaks (10° ≤ 2θ ≤ 90°), in order of rising 2θ:
(0 0 1), d = 7.801 Å, intensity 6
(1 1 2), d = 2.878 Å, intensity 100
(0 2 0), d = 2.494 Å, intensity 17
(4 0 1), d = 2.492 Å, intensity 33
(4 2 1), d = 1.762 Å, intensity 34
(7 1 0), d = 1.503 Å, intensity 40
(6 2 -2), d = 1.439 Å, intensity 12
(0 4 0), d = 1.246 Å, intensity 5
(7 3 0), d = 1.144 Å, intensity 16
(4 4 1), d = 1.115 Å, intensity 14